# NbSe2
Calculated PXRD pattern, Cu Kα X-rays. Input: a PBE-relaxed structure.
Peak positions follow from Bragg's law for the DFT cell and can differ from measured ones.

Top 10 peaks for 2θ from 10° to 80°, low angle first:
index	2theta	I (rel.)
0 0 4	13.69	63
1 0 3	31.44	54
1 0 4	32.78	62
1 0 5	34.43	46
1 0 8	40.93	100
1 0 11	49.13	13
1 1 0	52.59	51
1 0 13	55.31	12
0 0 16	56.95	13
2 0 8	68.72	21

Crystal structure
Cell: 3.480 3.480 25.873 Å, 90.00 90.00 120.00°
Sites, in units of the cell vectors:
Nb  0.000  0.000  0.000
Nb  0.000  0.000  0.250
Nb  0.000  0.000  0.500
Nb  0.000  0.000  0.750
Se  0.333  0.667  0.065
Se  0.333  0.667  0.435
Se  0.333  0.667  0.685
Se  0.333  0.667  0.815
Se  0.667  0.333  0.185
Se  0.667  0.333  0.315
Se  0.667  0.333  0.565
Se  0.667  0.333  0.935